The following is a calculated XRD peak list of TmAlP. It was derived from a GGA-PBE-relaxed structure, using Cu Kα (weighted mean of Kα1 and Kα2).

The 6 most intense peaks (2θ from 10° to 90°), by intensity:
| 2θ/deg | I/Imax |
| --- | --- |
| 22.65 | 100 |
| 29.84 | 72 |
| 39.15 | 69 |
| 27.36 | 39 |
| 35.69 | 39 |
| 46.19 | 34 |

Crystal structure
```
data_TmAlP
_cell_length_a 8.0126
_cell_length_b 8.0126
_cell_length_c 8.0126
_cell_angle_alpha 33.37
_cell_angle_beta 33.37
_cell_angle_gamma 33.37
_space_group_name_H-M_alt 'P 1'
_space_group_IT_number 1
loop_
_space_group_symop_operation_xyz
'x,y,z'
loop_
_atom_site_label
_atom_site_type_symbol
_atom_site_fract_x
_atom_site_fract_y
_atom_site_fract_z
_atom_site_occupancy
Tm1 Tm 0.0944 0.0944 0.0944 1
Tm2 Tm 0.9056 0.9056 0.9056 1
Al1 Al 0.3221 0.3221 0.3221 1
Al2 Al 0.6779 0.6779 0.6779 1
P1 P 0.2172 0.2172 0.2172 1
P2 P 0.7827 0.7827 0.7827 1
```

---

The following is a calculated XRD peak list of AlV5P2. It was derived from a GGA-PBE-relaxed structure, using Cu Kα (weighted mean of Kα1 and Kα2).

The 6 most intense peaks (2θ from 10° to 90°), by intensity:
| 2θ/deg | I/Imax |
| --- | --- |
| 42.16 | 100 |
| 43.00 | 91 |
| 36.85 | 64 |
| 48.67 | 32 |
| 75.71 | 30 |
| 16.45 | 21 |

Crystal structure
```
data_AlV5P2
_cell_length_a 6.7590
_cell_length_b 6.7590
_cell_length_c 6.7590
_cell_angle_alpha 153.20
_cell_angle_beta 126.59
_cell_angle_gamma 60.75
_space_group_name_H-M_alt 'P 1'
_space_group_IT_number 1
loop_
_space_group_symop_operation_xyz
'x,y,z'
loop_
_atom_site_label
_atom_site_type_symbol
_atom_site_fract_x
_atom_site_fract_y
_atom_site_fract_z
_atom_site_occupancy
Al1 Al 0.0000 0.0000 0.0000 1
V1 V 0.1209 0.3651 0.7558 1
V2 V 0.3907 0.6349 0.7558 1
V3 V 0.5000 0.0000 0.5000 1
V4 V 0.6093 0.3651 0.2442 1
V5 V 0.8791 0.6349 0.2442 1
P1 P 0.2844 0.7844 0.5000 1
P2 P 0.7156 0.2156 0.5000 1
```

---

The following is a calculated XRD peak list of Pa5Al. It was derived from a GGA-PBE-relaxed structure, using Cu Kα (weighted mean of Kα1 and Kα2).

The 6 most intense peaks (2θ from 10° to 90°), by intensity:
| 2θ/deg | I/Imax |
| --- | --- |
| 36.69 | 100 |
| 32.28 | 29 |
| 32.81 | 25 |
| 68.48 | 21 |
| 60.48 | 20 |
| 58.57 | 18 |

Crystal structure
```
data_Pa5Al
_cell_length_a 3.1518
_cell_length_b 3.1518
_cell_length_c 16.6403
_cell_angle_alpha 90.00
_cell_angle_beta 90.00
_cell_angle_gamma 120.00
_space_group_name_H-M_alt 'P 1'
_space_group_IT_number 1
loop_
_space_group_symop_operation_xyz
'x,y,z'
loop_
_atom_site_label
_atom_site_type_symbol
_atom_site_fract_x
_atom_site_fract_y
_atom_site_fract_z
_atom_site_occupancy
Pa1 Pa 0.0000 0.0000 0.0000 1
Pa2 Pa 0.0000 0.0000 0.3451 1
Pa3 Pa 0.0000 0.0000 0.6549 1
Pa4 Pa 0.3333 0.6667 0.1717 1
Pa5 Pa 0.3333 0.6667 0.8283 1
Al1 Al 0.3333 0.6667 0.5000 1
```